1.
Ac16Pr7Sm6: calculated PXRD pattern (Cu Kα), based on DFT lattice parameters and positions (GGA-PBE).
Kinematic intensities with the Lorentz-polarization factor, no thermal factor.

Peak list (12 most intense, 2θ = 5–70°, by angle)
d_spacing, two_theta, I_rel
9.850, 8.98, 5
4.265, 20.83, 9
3.815, 23.32, 5
3.283, 27.16, 7
3.016, 29.62, 100
2.884, 31.01, 6
2.133, 42.39, 15
1.741, 52.56, 30
1.715, 53.44, 4
1.649, 55.74, 4
1.508, 61.49, 8
1.349, 69.72, 9

Structure:
a = 17.060 Å, b = 17.060 Å, c = 17.060 Å
α = 90.00°, β = 90.00°, γ = 90.00°
Space group Fm-3m (No. 225)
One atom of each set of equivalent atoms:
Ac1 0.125 0.125 0.125
Ac2 0.147 0.147 0.353
Pr1 0.000 0.000 0.000
Pr2 0.000 0.250 0.250
Sm1 0.000 0.000 0.258

***

2.
Na3Sb5Rh6: calculated PXRD pattern (Cu Kα), based on DFT lattice parameters and positions (GGA-PBE).
Kinematic intensities with the Lorentz-polarization factor, no thermal factor.

Peak list (12 most intense, 2θ = 5–70°, by angle)
d_spacing, two_theta, I_rel
5.085, 17.44, 92
4.096, 21.70, 29
3.902, 22.79, 40
2.644, 33.90, 26
2.629, 34.10, 100
2.276, 39.59, 18
2.266, 39.78, 20
2.237, 40.31, 25
2.212, 40.80, 35
2.112, 42.81, 49
2.070, 43.72, 17
1.959, 46.36, 74

Structure:
a = 4.225 Å, b = 13.425 Å, c = 10.170 Å
α = 90.00°, β = 90.00°, γ = 90.00°
Space group Pmmn (No. 59, origin choice 2)
One atom of each set of equivalent atoms:
Na1 0.250 0.088 0.248
Na2 0.250 0.750 0.257
Sb1 0.250 0.079 0.654
Sb2 0.250 0.631 0.988
Sb3 0.250 0.750 0.634
Rh1 0.250 0.049 0.905
Rh2 0.250 0.250 0.516
Rh3 0.250 0.250 0.998
Rh4 0.250 0.582 0.498

***

3.
CaBeAl4: calculated PXRD pattern (Cu Kα), based on DFT lattice parameters and positions (GGA-PBE).
Kinematic intensities with the Lorentz-polarization factor, no thermal factor.

Peak list (11 most intense, 2θ = 5–70°, by angle)
d_spacing, two_theta, I_rel
4.449, 19.96, 24
3.853, 23.09, 16
2.724, 32.88, 23
2.323, 38.76, 100
2.224, 40.56, 45
1.926, 47.18, 6
1.768, 51.71, 6
1.723, 53.16, 5
1.573, 58.70, 7
1.483, 62.65, 30
1.362, 68.94, 25

Structure:
a = 7.705 Å, b = 7.705 Å, c = 7.705 Å
α = 90.00°, β = 90.00°, γ = 90.00°
Space group F-43m (No. 216)
One atom of each set of equivalent atoms:
Ca1 0.000 0.000 0.000
Be1 0.250 0.250 0.250
Al1 0.125 0.125 0.625

***

4.
Ba3ScCO3F7: calculated PXRD pattern (Cu Kα), based on DFT lattice parameters and positions (GGA-PBE).
Kinematic intensities with the Lorentz-polarization factor, no thermal factor.

Peak list (12 most intense, 2θ = 5–70°, by angle)
d_spacing, two_theta, I_rel
3.579, 24.88, 100
3.476, 25.63, 20
3.042, 29.36, 20
2.357, 38.17, 13
2.271, 39.69, 27
2.231, 40.42, 12
2.213, 40.77, 12
2.102, 43.03, 22
2.000, 45.34, 13
1.961, 46.30, 16
1.844, 49.43, 15
1.450, 64.24, 13

Structure:
a = 11.634 Å, b = 13.642 Å, c = 6.084 Å
α = 90.00°, β = 90.00°, γ = 90.00°
Space group Cmcm (No. 63)
One atom of each set of equivalent atoms:
Ba1 0.000 0.094 0.250
Ba2 0.223 0.379 0.250
Sc1 0.000 0.268 0.750
C1 0.000 0.462 0.750
O1 0.000 0.445 0.250
O2 0.096 0.411 0.750
F1 0.000 0.115 0.750
F2 0.121 0.238 0.505
F3 0.161 0.000 0.000

***

5.
Sn3Pb2Au4: calculated PXRD pattern (Cu Kα), based on DFT lattice parameters and positions (GGA-PBE).
Kinematic intensities with the Lorentz-polarization factor, no thermal factor.

Peak list (12 most intense, 2θ = 5–70°, by angle)
d_spacing, two_theta, I_rel
3.775, 23.57, 23
2.872, 31.14, 46
2.863, 31.25, 66
2.840, 31.50, 72
2.503, 35.87, 100
2.481, 36.20, 31
2.451, 36.66, 38
2.300, 39.17, 51
2.210, 40.83, 27
2.168, 41.65, 22
1.652, 55.62, 25
1.437, 64.91, 60

Structure:
a = 6.609 Å, b = 17.242 Å, c = 7.671 Å
α = 90.00°, β = 90.00°, γ = 90.00°
Space group Cmce (No. 64)
One atom of each set of equivalent atoms:
Sn1 0.000 0.000 0.000
Sn2 0.250 0.242 0.250
Pb1 0.000 0.086 0.605
Au1 0.000 0.169 0.982
Au2 0.250 0.074 0.250